Starting from a GGA-PBE-relaxed structure, the XRD peak list of Pm2ErGa was simulated for Cu Kα (weighted mean of Kα1 and Kα2).
Neutral-atom scattering factors, no anomalous dispersion.

Principal peaks in the range 10° ≤ 2θ ≤ 90°, low angle first:
| two_theta | I (rel.) |
| --- | --- |
| 25.8 | 18 |
| 28.1 | 17 |
| 28.6 | 18 |
| 30.3 | 35 |
| 31.5 | 100 |
| 34.7 | 64 |
| 40.5 | 21 |
| 49.5 | 37 |
| 59.9 | 16 |
| 61.8 | 32 |

Structure:
```
Pm2ErGa
1.0
1.8414 1.0631 10.3498
-1.8414 1.0631 10.3498
0.0000 -2.1263 10.3498
Pm Er Ga
2 1 1
Direct
0.0000 0.0000 0.0000
0.1893 0.1893 0.1893
0.4282 0.4282 0.4282
0.5943 0.5943 0.5943
```

Starting from a GGA-PBE-relaxed structure, the XRD peak list of Dy2Y6Ho3Mg was simulated for Cu Kα (weighted mean of Kα1 and Kα2).
Neutral-atom scattering factors, no anomalous dispersion.

Principal peaks in the range 10° ≤ 2θ ≤ 90°, low angle first:
| two_theta | I (rel.) |
| --- | --- |
| 31.0 | 100 |
| 31.1 | 33 |
| 35.9 | 66 |
| 51.7 | 23 |
| 51.8 | 23 |
| 61.5 | 32 |
| 61.6 | 18 |
| 64.6 | 12 |
| 84.4 | 11 |
| 87.2 | 11 |

Structure:
```
Dy2Y6Ho3Mg
1.0
3.0631 -5.3069 0.0000
3.0631 5.3069 0.0000
-2.0540 0.0000 11.5094
Dy Y Ho Mg
2 6 3 1
Direct
0.1664 0.8336 0.0000
0.8336 0.1664 0.0000
0.0853 0.4177 0.7513
0.2497 0.2497 0.2495
0.4177 0.0853 0.7513
0.5823 0.9147 0.2487
0.7503 0.7503 0.7505
0.9147 0.5823 0.2487
0.0000 0.0000 0.5000
0.3342 0.6658 0.5000
0.6658 0.3342 0.5000
0.5000 0.5000 0.0000
```